# 1
# CaV8O8F8
Simulated powder diffractogram, CuKα. Input: DFT lattice parameters and positions (GGA+U).
No peak broadening, texture or thermal motion is included.

Main lines, sorted by position (5° ≤ 2θ ≤ 70°):
| d [Å] | two_theta | I (rel.) |
| --- | --- | --- |
| 3.586 | 24.83 | 100 |
| 3.361 | 26.52 | 93 |
| 2.664 | 33.65 | 27 |
| 2.653 | 33.78 | 30 |
| 2.625 | 34.16 | 50 |
| 2.508 | 35.81 | 25 |
| 1.810 | 50.43 | 26 |
| 1.752 | 52.20 | 24 |
| 1.680 | 54.62 | 22 |
| 1.568 | 58.92 | 24 |

Atomic structure:
Cell: 5.026 5.737 10.572 Å, 95.96 91.91 92.97°
Atoms (fractional coordinates):
Ca: 0.000 0.000 0.000
V: 0.011 0.868 0.632
V: 0.026 0.562 0.842
V: 0.484 0.894 0.151
V: 0.497 0.627 0.379
V: 0.506 0.121 0.865
V: 0.523 0.350 0.600
V: 0.992 0.431 0.130
V: 0.999 0.124 0.376
O: 0.164 0.892 0.804
O: 0.183 0.141 0.548
O: 0.196 0.689 0.050
O: 0.315 0.896 0.312
O: 0.678 0.349 0.436
O: 0.824 0.572 0.680
O: 0.829 0.091 0.199
O: 0.846 0.338 0.935
F: 0.182 0.421 0.312
F: 0.321 0.649 0.553
F: 0.351 0.401 0.781
F: 0.368 0.200 0.065
F: 0.624 0.826 0.950
F: 0.665 0.603 0.206
F: 0.686 0.068 0.683
F: 0.813 0.834 0.448

***

# 2
# Ca5V3O12F
Simulated powder diffractogram, CuKα. Input: DFT lattice parameters and positions (GGA+U).
No peak broadening, texture or thermal motion is included.

Main lines, sorted by position (5° ≤ 2θ ≤ 70°):
| d [Å] | two_theta | I (rel.) |
| --- | --- | --- |
| 3.513 | 25.35 | 91 |
| 3.233 | 27.59 | 36 |
| 2.957 | 30.23 | 51 |
| 2.944 | 30.36 | 57 |
| 2.928 | 30.53 | 78 |
| 2.923 | 30.59 | 58 |
| 2.853 | 31.36 | 100 |
| 2.846 | 31.43 | 66 |
| 1.884 | 48.30 | 37 |
| 1.756 | 52.07 | 42 |

Atomic structure:
Cell: 7.027 9.860 9.878 Å, 119.87 90.68 90.20°
Atoms (fractional coordinates):
Ca: 0.003 0.165 0.315
Ca: 0.244 0.734 0.995
Ca: 0.249 0.256 0.761
Ca: 0.257 0.504 0.245
Ca: 0.497 0.165 0.346
Ca: 0.503 0.835 0.654
Ca: 0.743 0.496 0.755
Ca: 0.751 0.744 0.239
Ca: 0.756 0.266 0.005
Ca: 0.997 0.835 0.685
V: 0.242 0.526 0.630
V: 0.245 0.871 0.398
V: 0.264 0.101 0.973
V: 0.736 0.899 0.027
V: 0.755 0.129 0.602
V: 0.758 0.474 0.370
O: 0.043 0.600 0.748
O: 0.060 0.158 0.915
O: 0.068 0.730 0.308
O: 0.223 0.970 0.602
O: 0.230 0.325 0.508
O: 0.247 0.993 0.319
O: 0.265 0.895 0.871
O: 0.266 0.629 0.529
O: 0.270 0.184 0.174
O: 0.427 0.571 0.764
O: 0.448 0.169 0.906
O: 0.454 0.765 0.359
O: 0.546 0.235 0.641
O: 0.552 0.831 0.094
O: 0.573 0.429 0.236
O: 0.730 0.816 0.826
O: 0.734 0.371 0.471
O: 0.735 0.105 0.129
O: 0.753 0.007 0.681
O: 0.770 0.675 0.492
O: 0.777 0.030 0.398
O: 0.932 0.270 0.692
O: 0.940 0.842 0.085
O: 0.957 0.400 0.252
F: 0.249 0.495 0.001
F: 0.751 0.505 0.999

***

# 3
# CaVF5
Simulated powder diffractogram, CuKα. Input: DFT lattice parameters and positions (GGA+U).
No peak broadening, texture or thermal motion is included.

Main lines, sorted by position (5° ≤ 2θ ≤ 70°):
| d [Å] | two_theta | I (rel.) |
| --- | --- | --- |
| 4.677 | 18.97 | 46 |
| 3.673 | 24.23 | 100 |
| 3.460 | 25.75 | 41 |
| 3.442 | 25.88 | 38 |
| 2.989 | 29.89 | 16 |
| 2.977 | 30.01 | 13 |
| 2.084 | 43.43 | 40 |
| 1.955 | 46.45 | 26 |
| 1.835 | 49.70 | 25 |
| 1.826 | 49.94 | 19 |

Atomic structure:
Cell: 5.589 10.274 7.820 Å, 90.00 109.96 90.00°
Atoms (fractional coordinates):
Ca: 0.031 0.020 0.255
Ca: 0.031 0.480 0.755
Ca: 0.969 0.520 0.245
Ca: 0.969 0.980 0.745
V: 0.391 0.247 0.599
V: 0.391 0.253 0.099
V: 0.609 0.747 0.901
V: 0.609 0.753 0.401
F: 0.111 0.117 0.556
F: 0.111 0.383 0.056
F: 0.142 0.112 0.005
F: 0.142 0.388 0.505
F: 0.328 0.636 0.359
F: 0.328 0.864 0.859
F: 0.348 0.200 0.337
F: 0.348 0.300 0.837
F: 0.377 0.604 0.811
F: 0.377 0.896 0.311
F: 0.623 0.104 0.689
F: 0.623 0.396 0.189
F: 0.652 0.700 0.163
F: 0.652 0.800 0.663
F: 0.672 0.136 0.141
F: 0.672 0.364 0.641
F: 0.858 0.612 0.495
F: 0.858 0.888 0.995
F: 0.889 0.617 0.944
F: 0.889 0.883 0.444

***

# 4
# CaVF5
Simulated powder diffractogram, CuKα. Input: DFT lattice parameters and positions (GGA+U).
No peak broadening, texture or thermal motion is included.

Main lines, sorted by position (5° ≤ 2θ ≤ 70°):
| d [Å] | two_theta | I (rel.) |
| --- | --- | --- |
| 4.140 | 21.47 | 100 |
| 3.366 | 26.48 | 97 |
| 3.295 | 27.06 | 42 |
| 2.070 | 43.73 | 35 |
| 1.958 | 46.38 | 28 |
| 1.916 | 47.46 | 33 |
| 1.763 | 51.85 | 24 |
| 1.683 | 54.52 | 13 |
| 1.422 | 65.64 | 14 |
| 1.406 | 66.51 | 18 |

Atomic structure:
Cell: 5.642 5.642 7.832 Å, 110.33 110.33 71.45°
Atoms (fractional coordinates):
Ca: 0.045 0.955 0.750
Ca: 0.955 0.045 0.250
V: 0.500 0.500 0.000
V: 0.500 0.500 0.500
F: 0.196 0.786 0.034
F: 0.214 0.804 0.466
F: 0.256 0.282 0.380
F: 0.282 0.256 0.880
F: 0.410 0.590 0.750
F: 0.590 0.410 0.250
F: 0.718 0.744 0.120
F: 0.744 0.718 0.620
F: 0.786 0.196 0.534
F: 0.804 0.214 0.966

***

# 5
# CaWF6
Simulated powder diffractogram, CuKα. Input: DFT lattice parameters and positions (GGA+U).
No peak broadening, texture or thermal motion is included.

Main lines, sorted by position (5° ≤ 2θ ≤ 70°):
| d [Å] | two_theta | I (rel.) |
| --- | --- | --- |
| 5.063 | 17.52 | 17 |
| 4.723 | 18.79 | 46 |
| 4.158 | 21.37 | 100 |
| 3.017 | 29.61 | 27 |
| 2.869 | 31.17 | 18 |
| 2.496 | 35.98 | 20 |
| 2.079 | 43.53 | 20 |
| 1.898 | 47.93 | 26 |
| 1.823 | 50.03 | 17 |
| 1.684 | 54.51 | 12 |

Atomic structure:
Cell: 6.050 6.050 6.050 Å, 56.62 56.62 56.62°
Atoms (fractional coordinates):
Ca: 0.000 0.000 0.000
W: 0.500 0.500 0.500
F: 0.174 0.729 0.358
F: 0.271 0.642 0.826
F: 0.358 0.174 0.729
F: 0.642 0.826 0.271
F: 0.729 0.358 0.174
F: 0.826 0.271 0.642

***

# 6
# CaFeGe4O12
Simulated powder diffractogram, CuKα. Input: DFT lattice parameters and positions (GGA+U).
No peak broadening, texture or thermal motion is included.

Main lines, sorted by position (5° ≤ 2θ ≤ 70°):
| d [Å] | two_theta | I (rel.) |
| --- | --- | --- |
| 4.269 | 20.81 | 74 |
| 3.914 | 22.72 | 64 |
| 3.719 | 23.93 | 78 |
| 3.494 | 25.49 | 74 |
| 2.696 | 33.23 | 100 |
| 2.606 | 34.41 | 96 |
| 2.546 | 35.24 | 66 |
| 2.445 | 36.77 | 35 |
| 1.860 | 48.98 | 49 |
| 1.514 | 61.23 | 39 |

Atomic structure:
Cell: 7.438 5.247 5.247 Å, 96.50 90.00 90.00°
Atoms (fractional coordinates):
Ca: 0.000 0.000 0.000
Fe: 0.500 0.369 0.369
Ge: 0.255 0.462 0.908
Ge: 0.255 0.908 0.462
Ge: 0.745 0.462 0.908
Ge: 0.745 0.908 0.462
O: 0.000 0.482 0.890
O: 0.000 0.890 0.482
O: 0.239 0.248 0.248
O: 0.240 0.127 0.761
O: 0.240 0.761 0.127
O: 0.314 0.601 0.601
O: 0.500 0.009 0.434
O: 0.500 0.434 0.009
O: 0.686 0.601 0.601
O: 0.760 0.127 0.761
O: 0.760 0.761 0.127
O: 0.761 0.248 0.248